(1)
Structure and simulated powder diffraction line list of Pr3US4 (the PBE geometry in Alexandria; λ = 1.5418 Å (Cu Kα)).
Neutral-atom scattering factors, no anomalous dispersion.

Largest 10 diffraction maxima, low angle first, 2θ from 5° to 70°:
two_theta, I_rel
26.84, 21
26.99, 62
31.22, 100
44.64, 37
44.83, 36
52.86, 11
53.04, 24
53.13, 7
55.64, 19
65.12, 12

Structure:
abc: 7.044 8.084 7.006
angles: 90.00 109.44 90.00
Atoms (fractional coordinates):
Pr: 0.000 0.124 0.250
Pr: 0.000 0.375 0.750
Pr: 0.000 0.625 0.250
Pr: 0.000 0.876 0.750
Pr: 0.500 0.373 0.250
Pr: 0.500 0.627 0.750
U: 0.500 0.122 0.750
U: 0.500 0.878 0.250
S: 0.257 0.368 0.508
S: 0.257 0.632 0.008
S: 0.262 0.119 0.999
S: 0.262 0.881 0.499
S: 0.738 0.119 0.501
S: 0.738 0.881 0.001
S: 0.743 0.368 0.992
S: 0.743 0.632 0.492



(2)
Structure and simulated powder diffraction line list of CaPaMoN4 (the PBE geometry in Alexandria; λ = 1.5418 Å (Cu Kα)).
Neutral-atom scattering factors, no anomalous dispersion.

Largest 10 diffraction maxima, low angle first, 2θ from 5° to 70°:
two_theta, I_rel
13.62, 100
20.58, 35
21.69, 30
23.23, 22
30.99, 37
31.58, 48
33.81, 36
33.99, 20
38.59, 60
44.21, 20

Structure:
abc: 6.060 5.771 6.773
angles: 90.00 106.22 90.00
Atoms (fractional coordinates):
Ca: 0.203 0.250 0.418
Ca: 0.797 0.750 0.582
Pa: 0.304 0.250 0.947
Pa: 0.696 0.750 0.053
Mo: 0.235 0.750 0.183
Mo: 0.765 0.250 0.817
N: 0.020 0.750 0.337
N: 0.029 0.750 0.927
N: 0.463 0.507 0.204
N: 0.463 0.993 0.204
N: 0.537 0.007 0.796
N: 0.537 0.493 0.796
N: 0.971 0.250 0.073
N: 0.980 0.250 0.663



(3)
Structure and simulated powder diffraction line list of Tb3Sm5Tm4 (the PBE geometry in Alexandria; λ = 1.5418 Å (Cu Kα)).
Neutral-atom scattering factors, no anomalous dispersion.

Largest 10 diffraction maxima, low angle first, 2θ from 5° to 70°:
two_theta, I_rel
28.99, 28
29.27, 41
29.52, 40
30.43, 100
31.14, 35
31.73, 47
32.52, 79
33.01, 37
33.84, 64
44.10, 29

Structure:
abc: 8.605 8.605 9.266
angles: 114.98 114.98 39.93
Atoms (fractional coordinates):
Tb: 0.000 0.000 0.000
Tb: 0.292 0.292 0.772
Tb: 0.708 0.708 0.228
Sm: 0.077 0.077 0.700
Sm: 0.174 0.174 0.386
Sm: 0.500 0.500 0.000
Sm: 0.826 0.826 0.614
Sm: 0.923 0.923 0.300
Tm: 0.286 0.286 0.122
Tm: 0.420 0.420 0.561
Tm: 0.580 0.580 0.439
Tm: 0.714 0.714 0.878



(4)
Structure and simulated powder diffraction line list of Li2Sn3Bi2 (the PBE geometry in Alexandria; λ = 1.5418 Å (Cu Kα)).
Neutral-atom scattering factors, no anomalous dispersion.

Largest 10 diffraction maxima, low angle first, 2θ from 5° to 70°:
two_theta, I_rel
22.26, 31
25.00, 36
25.25, 48
28.71, 39
32.99, 86
33.81, 100
34.23, 38
37.10, 39
44.39, 26
51.36, 25

Structure:
abc: 9.551 4.847 8.193
angles: 90.00 106.81 90.00
Atoms (fractional coordinates):
Li: 0.211 0.000 0.149
Li: 0.289 0.500 0.851
Li: 0.711 0.500 0.149
Li: 0.789 0.000 0.851
Sn: 0.000 0.500 0.000
Sn: 0.142 0.500 0.416
Sn: 0.358 0.000 0.584
Sn: 0.500 0.000 0.000
Sn: 0.642 0.000 0.416
Sn: 0.858 0.500 0.584
Bi: 0.083 0.000 0.759
Bi: 0.417 0.500 0.241
Bi: 0.583 0.500 0.759
Bi: 0.917 0.000 0.241



(5)
Structure and simulated powder diffraction line list of Cs2NdHBr6 (the PBE geometry in Alexandria; λ = 1.5418 Å (Cu Kα)).
Neutral-atom scattering factors, no anomalous dispersion.

Largest 10 diffraction maxima, low angle first, 2θ from 5° to 70°:
two_theta, I_rel
13.68, 22
19.80, 20
23.63, 38
27.55, 81
28.15, 100
30.34, 27
37.07, 19
46.71, 25
48.35, 27
49.46, 24

Structure:
abc: 7.878 7.878 8.979
angles: 124.71 124.71 69.27
Atoms (fractional coordinates):
Cs: 0.250 0.250 0.250
Cs: 0.750 0.750 0.750
Nd: 0.000 0.000 0.500
H: 0.500 0.500 0.000
Br: 0.226 0.774 0.275
Br: 0.226 0.774 0.725
Br: 0.318 0.318 0.818
Br: 0.682 0.682 0.182
Br: 0.774 0.226 0.275
Br: 0.774 0.226 0.725



(6)
Structure and simulated powder diffraction line list of SnBrF3 (the PBE geometry in Alexandria; λ = 1.5418 Å (Cu Kα)).
Neutral-atom scattering factors, no anomalous dispersion.

Largest 10 diffraction maxima, low angle first, 2θ from 5° to 70°:
two_theta, I_rel
17.75, 92
24.49, 100
25.90, 21
30.41, 46
32.71, 19
41.28, 52
43.11, 21
50.21, 23
55.15, 23
61.22, 17

Structure:
abc: 7.268 7.268 8.214
angles: 90.00 90.00 120.00
Atoms (fractional coordinates):
Sn: 0.000 0.000 0.000
Sn: 0.333 0.667 0.667
Sn: 0.667 0.333 0.333
Br: 0.000 0.000 0.705
Br: 0.333 0.667 0.371
Br: 0.667 0.333 0.038
F: 0.053 0.527 0.762
F: 0.140 0.280 0.095
F: 0.140 0.860 0.095
F: 0.387 0.193 0.429
F: 0.473 0.527 0.762
F: 0.473 0.947 0.762
F: 0.720 0.860 0.095
F: 0.807 0.193 0.429
F: 0.807 0.613 0.429



(7)
Structure and simulated powder diffraction line list of Li2PuI6 (the PBE geometry in Alexandria; λ = 1.5418 Å (Cu Kα)).
Neutral-atom scattering factors, no anomalous dispersion.

Largest 10 diffraction maxima, low angle first, 2θ from 5° to 70°:
two_theta, I_rel
8.73, 94
10.87, 32
17.76, 65
21.84, 22
23.87, 35
24.04, 49
24.51, 26
29.63, 100
35.32, 33
41.47, 22

Structure:
abc: 10.446 10.446 7.868
angles: 95.54 95.54 76.56
Atoms (fractional coordinates):
Li: 0.056 0.205 0.207
Li: 0.205 0.056 0.707
Li: 0.795 0.944 0.293
Li: 0.944 0.795 0.793
Pu: 0.410 0.590 0.750
Pu: 0.590 0.410 0.250
I: 0.048 0.249 0.881
I: 0.136 0.633 0.591
I: 0.249 0.048 0.381
I: 0.319 0.475 0.048
I: 0.367 0.864 0.909
I: 0.475 0.319 0.548
I: 0.525 0.681 0.452
I: 0.633 0.136 0.091
I: 0.681 0.525 0.952
I: 0.751 0.952 0.619
I: 0.864 0.367 0.409
I: 0.952 0.751 0.119



(8)
Structure and simulated powder diffraction line list of ErP3Ir6 (the PBE geometry in Alexandria; λ = 1.5418 Å (Cu Kα)).
Neutral-atom scattering factors, no anomalous dispersion.

Largest 10 diffraction maxima, low angle first, 2θ from 5° to 70°:
two_theta, I_rel
30.30, 100
30.50, 36
34.49, 65
38.10, 89
38.35, 82
38.70, 70
42.09, 53
43.63, 44
45.62, 39
46.13, 57

Structure:
abc: 5.483 5.529 6.522
angles: 66.80 70.62 61.39
Atoms (fractional coordinates):
Er: 0.000 0.000 0.000
P: 0.179 0.364 0.136
P: 0.579 0.710 0.139
P: 0.791 0.924 0.491
Ir: 0.060 0.540 0.782
Ir: 0.236 0.934 0.416
Ir: 0.405 0.363 0.392
Ir: 0.521 0.538 0.886
Ir: 0.562 0.065 0.811
Ir: 0.811 0.528 0.438



(9)
Structure and simulated powder diffraction line list of SmBe2Pt2 (the PBE geometry in Alexandria; λ = 1.5418 Å (Cu Kα)).
Neutral-atom scattering factors, no anomalous dispersion.

Largest 10 diffraction maxima, low angle first, 2θ from 5° to 70°:
two_theta, I_rel
23.79, 10
29.01, 47
33.38, 33
35.31, 100
44.80, 32
51.82, 9
55.59, 28
60.12, 7
60.91, 21
64.58, 5

Structure:
abc: 5.788 5.588 4.084
angles: 71.60 66.37 42.03
Atoms (fractional coordinates):
Sm: 0.000 0.000 0.000
Be: 0.250 0.250 0.250
Be: 0.750 0.750 0.750
Pt: 0.359 0.359 0.641
Pt: 0.641 0.641 0.359